1.
Starting from the GGA-PBE geometry in Alexandria, the X-ray powder pattern of GaP2SO was simulated for λ = 1.5418 Å (Cu Kα).

Main lines, by angle (5° ≤ 2θ ≤ 70°):
index  Position (°2θ)  d (Å)  intensity
1 0 0  18.9  4.683  7
1 1 0  26.9  3.312  30
1 0 1  32.2  2.780  79
1 1 1  37.6  2.391  89
2 0 0  38.4  2.342  100
2 1 1  51.0  1.791  42
0 0 2  53.0  1.728  18
2 2 0  55.5  1.656  31
1 1 2  60.4  1.532  5
3 0 1  65.6  1.423  10
2 0 2  67.4  1.390  34
3 1 1  69.0  1.361  27

Atomic structure:
abc: 4.683 4.683 3.455
angles: 90.00 90.00 90.00
Space group P4/mmm (No. 123)
Unique sites:
Ga  0.000  0.000  0.000 x1
P  0.000  0.500  0.500 x2
S  0.500  0.500  0.500 x1
O  0.500  0.500  0.000 x1

2.
Starting from the GGA-PBE geometry in Alexandria, the X-ray powder pattern of Hf6Zn5Re was simulated for λ = 1.5418 Å (Cu Kα).

Main lines, by angle (5° ≤ 2θ ≤ 70°):
index  Position (°2θ)  d (Å)  intensity
0 2 0  12.7  6.991  2
0 0 1  13.4  6.611  2
0 2 1  18.5  4.804  1
1 3 0  27.0  3.302  16
2 0 0  38.5  2.336  100
0 6 0  38.6  2.330  20
2 0 2  47.7  1.906  5
0 0 4  55.6  1.653  7
2 6 0  55.7  1.650  14
3 3 0  62.9  1.477  5
3 3 2  69.7  1.349  28
1 9 2  69.9  1.346  14

Atomic structure:
abc: 4.673 13.983 6.611
angles: 90.00 90.00 90.00
Space group Cmmm (No. 65)
Unique sites:
Hf  0.000  0.000  0.247 x4
Hf  0.000  0.336  0.247 x8
Zn  0.000  0.166  0.000 x4
Zn  0.000  0.169  0.500 x4
Zn  0.000  0.500  0.500 x2
Re  0.000  0.500  0.000 x2